Theoretical powder XRD pattern
Compound: AgHg2TeS4
Radiation: Cu Kα (weighted mean of Kα1 and Kα2)
Structure: a DFT-relaxed cell (GGA-PBE, Alexandria)
Neutral-atom scattering factors, no anomalous dispersion.

Atomic structure:
Unit cell a=8.111 b=8.111 c=7.857 alpha=117.41 beta=117.41 gamma=93.34
Atoms (fractional coordinates):
1 Ag 0.000 0.500 0.000
2 Ag 0.500 0.000 0.500
3 Hg 0.000 0.000 0.000
4 Hg 0.000 0.000 0.500
5 Hg 0.000 0.500 0.500
6 Hg 0.500 0.000 0.000
7 Te 0.500 0.500 0.000
8 Te 0.500 0.500 0.500
9 S 0.185 0.260 0.909
10 S 0.217 0.661 0.448
11 S 0.260 0.185 0.409
12 S 0.339 0.783 0.052
13 S 0.661 0.217 0.948
14 S 0.740 0.815 0.591
15 S 0.783 0.339 0.552
16 S 0.815 0.740 0.091

Largest 12 diffraction maxima, in order of rising 2θ, 2θ = 15–90°:
- 3.382 Å, 26.35 deg, I 100.0
- 3.268 Å, 27.29 deg, I 91.0
- 2.950 Å, 30.30 deg, I 66.2
- 2.914 Å, 30.69 deg, I 62.3
- 2.779 Å, 32.21 deg, I 58.2
- 2.073 Å, 43.66 deg, I 44.1
- 2.064 Å, 43.86 deg, I 21.6
- 2.023 Å, 44.80 deg, I 42.2
- 1.776 Å, 51.45 deg, I 43.2
- 1.758 Å, 52.01 deg, I 19.9
- 1.691 Å, 54.24 deg, I 21.7
- 1.634 Å, 56.31 deg, I 20.9